This entry pairs a crystal structure of Cs2MnBr2F2 with its calculated powder X-ray diffraction pattern. Radiation: a wavelength of 1.5418 Å. Structure: DFT lattice parameters and positions (PBE+U).
Kinematic intensities with the Lorentz-polarization factor, no thermal factor.

Peak list (8 most intense, 2θ from 10° to 90°, low angle first)
2θ (°)  I (rel.)
20.71  36.0
26.02  100.0
31.97  48.3
33.49  70.8
37.13  53.8
42.89  21.8
49.79  26.9
64.62  20.2

Cell and atoms:
Cell: 9.235 9.235 9.235 Å, 149.59 149.59 43.54°
Fractional positions:
Cs1 0.120 0.120 0.000
Cs2 0.880 0.880 0.000
Mn1 0.500 0.500 0.000
Br1 0.346 0.346 0.000
Br2 0.654 0.654 0.000
F1 0.000 0.500 0.500
F2 0.500 0.000 0.500